# Nb4Sb2H
Theoretical X-ray diffraction stick pattern, CuKα. Input: a structure optimized by DFT (PBE).
Neutral-atom scattering factors, no anomalous dispersion.

The 8 most intense peaks (15° ≤ 2θ ≤ 90°), low angle first:
hkl 1 1 0, 29.9 deg, 2.990 Å, I = 211; hkl 1 1 2, 32.6 deg, 2.748 Å, I = 558; hkl 0 0 6, 38.7 deg, 2.324 Å, I = 241; hkl 1 1 4, 39.7 deg, 2.269 Å, I = 1000; hkl 2 0 0, 42.8 deg, 2.114 Å, I = 517; hkl 2 0 6, 59.1 deg, 1.564 Å, I = 272; hkl 1 1 10, 75.2 deg, 1.264 Å, I = 185; hkl 3 1 4, 76.3 deg, 1.248 Å, I = 283

Cell and atoms:
```
data_Nb4Sb2H
_chemical_formula_sum 'Nb8 Sb4 H2'
_space_group_name_H-M_alt 'I 4/m m m'
_space_group_IT_number 139
_space_group_name_Hall '-I 4 2'
_cell_length_a 4.228
_cell_length_b 4.228
_cell_length_c 13.945
_cell_angle_alpha 90.00
_cell_angle_beta 90.00
_cell_angle_gamma 90.00
loop_
_atom_site_label
_atom_site_type_symbol
_atom_site_fract_x
_atom_site_fract_y
_atom_site_fract_z
Nb1 Nb 0.000 0.000 0.149
Nb2 Nb 0.000 0.500 0.000
Sb1 Sb 0.000 0.000 0.353
H1 H 0.000 0.000 0.000
```



# CaAcPmTl
Theoretical X-ray diffraction stick pattern, CuKα. Input: a structure optimized by DFT (PBE).
Neutral-atom scattering factors, no anomalous dispersion.

The 8 most intense peaks (15° ≤ 2θ ≤ 90°), low angle first:
hkl 2 0 0, 21.7 deg, 4.097 Å, I = 164; hkl 2 2 0, 30.9 deg, 2.897 Å, I = 1000; hkl 4 0 0, 44.2 deg, 2.049 Å, I = 188; hkl 4 2 0, 49.8 deg, 1.832 Å, I = 80; hkl 4 2 2, 54.9 deg, 1.673 Å, I = 400; hkl 4 4 0, 64.3 deg, 1.449 Å, I = 124; hkl 6 2 0, 73.0 deg, 1.296 Å, I = 172; hkl 6 4 2, 89.5 deg, 1.095 Å, I = 213

Cell and atoms:
```
data_CaAcPmTl
_chemical_formula_sum 'Ca4 Ac4 Pm4 Tl4'
_space_group_name_H-M_alt 'F -4 3 m'
_space_group_IT_number 216
_space_group_name_Hall 'F -4 2 3'
_cell_length_a 8.194
_cell_length_b 8.194
_cell_length_c 8.194
_cell_angle_alpha 90.00
_cell_angle_beta 90.00
_cell_angle_gamma 90.00
loop_
_atom_site_label
_atom_site_type_symbol
_atom_site_fract_x
_atom_site_fract_y
_atom_site_fract_z
Ca1 Ca 0.000 0.000 0.000
Ac1 Ac 0.250 0.250 0.750
Pm1 Pm 0.000 0.000 0.500
Tl1 Tl 0.250 0.250 0.250
```



# Rb2Tl2CdIn
Theoretical X-ray diffraction stick pattern, CuKα. Input: a structure optimized by DFT (PBE).
Neutral-atom scattering factors, no anomalous dispersion.

The 8 most intense peaks (15° ≤ 2θ ≤ 90°), low angle first:
hkl 1 2 1, 20.0 deg, 4.429 Å, I = 411; hkl 2 0 0, 24.6 deg, 3.624 Å, I = 275; hkl 1 4 1, 26.7 deg, 3.339 Å, I = 567; hkl 2 4 0, 32.0 deg, 2.798 Å, I = 1000; hkl 2 0 2, 35.0 deg, 2.563 Å, I = 625; hkl 3 4 1, 44.6 deg, 2.033 Å, I = 285; hkl 1 8 1, 44.8 deg, 2.022 Å, I = 250; hkl 4 4 2, 60.9 deg, 1.521 Å, I = 313

Cell and atoms:
```
data_Rb2Tl2CdIn
_chemical_formula_sum 'Rb8 Tl8 Cd4 In4'
_space_group_name_H-M_alt 'I b a m'
_space_group_IT_number 72
_space_group_name_Hall '-I 2 2c'
_cell_length_a 7.243
_cell_length_b 17.601
_cell_length_c 7.254
_cell_angle_alpha 90.00
_cell_angle_beta 90.00
_cell_angle_gamma 90.00
loop_
_atom_site_label
_atom_site_type_symbol
_atom_site_fract_x
_atom_site_fract_y
_atom_site_fract_z
Rb1 Rb 0.249 0.170 0.000
Tl1 Tl 0.250 0.101 0.500
Cd1 Cd 0.000 0.500 0.250
In1 In 0.000 0.000 0.250
```



# Pr3SmAu2
Theoretical X-ray diffraction stick pattern, CuKα. Input: a structure optimized by DFT (PBE).
Neutral-atom scattering factors, no anomalous dispersion.

The 8 most intense peaks (15° ≤ 2θ ≤ 90°), low angle first:
hkl 0 3 1, 28.0 deg, 3.189 Å, I = 218; hkl 1 2 1, 30.3 deg, 2.946 Å, I = 283; hkl 0 1 3, 30.6 deg, 2.919 Å, I = 285; hkl 1 1 2, 31.3 deg, 2.859 Å, I = 1000; hkl 1 3 1, 36.3 deg, 2.476 Å, I = 584; hkl 0 4 1, 36.6 deg, 2.458 Å, I = 242; hkl 0 2 4, 43.4 deg, 2.085 Å, I = 215; hkl 2 0 0, 46.2 deg, 1.964 Å, I = 267

Cell and atoms:
```
data_Pr3SmAu2
_chemical_formula_sum 'Pr6 Sm2 Au4'
_space_group_name_H-M_alt 'P m c 21'
_space_group_IT_number 26
_cell_length_a 3.927
_cell_length_b 10.209
_cell_length_c 9.140
_cell_angle_alpha 90.00
_cell_angle_beta 90.00
_cell_angle_gamma 90.00
loop_
_space_group_symop_operation_xyz
'x,y,z'
'-x,-y,z+1/2'
'-x,y,z'
'x,-y,z+1/2'
loop_
_atom_site_label
_atom_site_type_symbol
_atom_site_fract_x
_atom_site_fract_y
_atom_site_fract_z
Pr1 Pr 0.000 0.077 0.000
Pr2 Pr 0.000 0.281 0.348
Pr3 Pr 0.500 0.221 0.672
Sm1 Sm 0.500 0.430 0.018
Au1 Au 0.000 0.436 0.739
Au2 Au 0.500 0.066 0.280
```



# K3AsBr6
Theoretical X-ray diffraction stick pattern, CuKα. Input: a structure optimized by DFT (PBE).
Neutral-atom scattering factors, no anomalous dispersion.

The 8 most intense peaks (15° ≤ 2θ ≤ 90°), low angle first:
hkl 1 1 -1, 15.7 deg, 5.661 Å, I = 390; hkl 2 1 -2, 25.3 deg, 3.514 Å, I = 380; hkl 1 2 -2, 25.7 deg, 3.470 Å, I = 408; hkl 1 0 2, 26.5 deg, 3.360 Å, I = 1000; hkl 1 2 1, 29.2 deg, 3.057 Å, I = 391; hkl 2 2 -2, 31.6 deg, 2.830 Å, I = 401; hkl 2 2 0, 35.5 deg, 2.530 Å, I = 562; hkl 3 1 -1, 39.8 deg, 2.263 Å, I = 480

Cell and atoms:
```
data_K3AsBr6
_chemical_formula_sum 'K6 As2 Br12'
_space_group_name_H-M_alt 'P 1 21/c 1'
_space_group_IT_number 14
_cell_length_a 7.763
_cell_length_b 8.272
_cell_length_c 13.594
_cell_angle_alpha 90.00
_cell_angle_beta 124.63
_cell_angle_gamma 90.00
loop_
_space_group_symop_operation_xyz
'x,y,z'
'-x,-y,-z'
'-x,y+1/2,-z+1/2'
'x,-y+1/2,z+1/2'
loop_
_atom_site_label
_atom_site_type_symbol
_atom_site_fract_x
_atom_site_fract_y
_atom_site_fract_z
K1 K 0.000 0.000 0.000
K2 K 0.219 0.080 0.748
As1 As 0.500 0.000 0.500
Br1 Br 0.164 0.173 0.445
Br2 Br 0.269 0.727 0.430
Br3 Br 0.400 0.046 0.278
```